CePuIn6: calculated powder X-ray diffraction pattern (Cu Kα), based on a DFT-relaxed cell (GGA-PBE, Alexandria).
Kinematic intensities with the Lorentz-polarization factor, no thermal factor.

Most intense lines, 2θ = 10–90°, by angle:
22.80 deg, 3.900 Å, rel. 7; 30.65 deg, 2.917 Å, rel. 25; 34.19 deg, 2.623 Å, rel. 24; 35.21 deg, 2.549 Å, rel. 100; 46.57 deg, 1.950 Å, rel. 15; 54.49 deg, 1.684 Å, rel. 18; 61.87 deg, 1.500 Å, rel. 19; 65.92 deg, 1.417 Å, rel. 21; 66.56 deg, 1.405 Å, rel. 15; 87.00 deg, 1.120 Å, rel. 7

Cell and atoms:
Cell lengths 6.7355, 6.7355, 5.2458 Å; angles 90.00, 90.00, 120.00 degrees
Space group P-6m2 (No. 187)
Unique sites:
Ce  0.0000  0.0000  0.0000 x1
Pu  0.3333  0.6667  0.5000 x1
In  0.3468  0.1734  0.5000 x3
In  0.5053  0.0105  0.0000 x3

=====

CeTm3Cd4: calculated powder X-ray diffraction pattern (Cu Kα), based on a DFT-relaxed cell (GGA-PBE, Alexandria).
Kinematic intensities with the Lorentz-polarization factor, no thermal factor.

Most intense lines, 2θ = 10–90°, by angle:
33.80 deg, 2.652 Å, rel. 100; 34.28 deg, 2.616 Å, rel. 49; 47.82 deg, 1.902 Å, rel. 9; 49.26 deg, 1.850 Å, rel. 17; 60.15 deg, 1.538 Å, rel. 18; 61.07 deg, 1.517 Å, rel. 35; 71.09 deg, 1.326 Å, rel. 11; 79.98 deg, 1.200 Å, rel. 8; 82.17 deg, 1.173 Å, rel. 8; 82.44 deg, 1.170 Å, rel. 8

Cell and atoms:
Cell lengths 10.464, 7.608, 5.232 Å; angles 90.00, 90.00, 90.00 degrees
Space group Pmma (No. 51)
Unique sites:
Ce  0.000  0.000  0.000 x2
Tm  0.000  0.500  0.000 x2
Tm  0.250  0.000  0.499 x2
Tm  0.250  0.500  0.499 x2
Cd  0.000  0.261  0.500 x4
Cd  0.250  0.261  0.999 x4

=====

Ac12Pd3Pt5: calculated powder X-ray diffraction pattern (Cu Kα), based on a DFT-relaxed cell (GGA-PBE, Alexandria).
Kinematic intensities with the Lorentz-polarization factor, no thermal factor.

Most intense lines, 2θ = 10–90°, by angle:
25.47 deg, 3.498 Å, rel. 17; 28.30 deg, 3.154 Å, rel. 59; 28.92 deg, 3.087 Å, rel. 100; 31.47 deg, 2.843 Å, rel. 22; 33.97 deg, 2.639 Å, rel. 68; 34.38 deg, 2.609 Å, rel. 15; 40.10 deg, 2.249 Å, rel. 22; 40.68 deg, 2.218 Å, rel. 28; 50.29 deg, 1.814 Å, rel. 25; 67.73 deg, 1.383 Å, rel. 14

Cell and atoms:
Cell lengths 13.1308, 13.1308, 4.4363 Å; angles 90.00, 90.00, 120.00 degrees
Space group P-62m (No. 189)
Unique sites:
Ac  0.0000  0.5290  0.0000 x3
Ac  0.0000  0.8318  0.0000 x3
Ac  0.1894  0.4542  0.5000 x6
Pd  0.0000  0.6774  0.5000 x3
Pt  0.0000  0.2884  0.0000 x3
Pt  0.3333  0.6667  0.0000 x2

=====

Which formula does entry 2 have? CeTm3Cd4